No. 1
The following is a theoretical powder XRD pattern of BaEuGaPd. It was derived from a structure optimized by DFT (GGA-PBE), using Cu Kα.

Principal peaks in the range 2θ = 10–90°, low angle first:
20.0°, rel. 2; 23.1°, rel. 6; 32.9°, rel. 100; 38.7°, rel. 1; 40.5°, rel. 2; 47.2°, rel. 18; 53.1°, rel. 2; 58.7°, rel. 37; 68.9°, rel. 11; 73.7°, rel. 1; 78.5°, rel. 16; 87.7°, rel. 4

Structural model:
Lattice parameters (Å, degrees): 7.7085 7.7085 7.7085 90.00 90.00 90.00
Space group F-43m (No. 216)
Inequivalent atoms, fractional coordinates:
1 Ba 0.0000 0.0000 0.0000 [4 per cell]
2 Eu 0.0000 0.0000 0.5000 [4 per cell]
3 Ga 0.2500 0.2500 0.2500 [4 per cell]
4 Pd 0.2500 0.2500 0.7500 [4 per cell]



No. 2
The following is a theoretical powder XRD pattern of BaEuGdSbO6. It was derived from a structure optimized by DFT (GGA-PBE), using Cu Kα.

Principal peaks in the range 2θ = 10–90°, low angle first:
29.6°, rel. 97; 29.8°, rel. 95; 29.9°, rel. 100; 42.2°, rel. 29; 42.6°, rel. 27; 43.0°, rel. 26; 52.6°, rel. 41; 52.8°, rel. 41; 53.1°, rel. 41; 69.5°, rel. 18; 70.7°, rel. 17; 85.3°, rel. 23

Structural model:
Lattice parameters (Å, degrees): 8.4177 8.4948 8.5647 90.00 90.00 90.00
Space group Cccm (No. 66)
Inequivalent atoms, fractional coordinates:
1 Ba 0.0000 0.0000 0.2500 [4 per cell]
2 Eu 0.0000 0.5000 0.2500 [4 per cell]
3 Gd 0.2500 0.2500 0.0000 [4 per cell]
4 Sb 0.2500 0.2500 0.5000 [4 per cell]
5 O 0.0151 0.2111 0.5000 [8 per cell]
6 O 0.2038 0.4842 0.5000 [8 per cell]
7 O 0.2500 0.2500 0.2644 [8 per cell]



No. 3
The following is a theoretical powder XRD pattern of BaEuHfZrO6. It was derived from a structure optimized by DFT (GGA-PBE), using Cu Kα.

Principal peaks in the range 2θ = 10–90°, low angle first:
18.3°, rel. 6; 30.1°, rel. 100; 35.5°, rel. 3; 37.1°, rel. 2; 43.1°, rel. 29; 47.2°, rel. 2; 53.5°, rel. 41; 57.0°, rel. 1; 62.6°, rel. 18; 71.0°, rel. 18; 79.0°, rel. 6; 86.8°, rel. 22

Structural model:
Lattice parameters (Å, degrees): 8.3926 8.3926 8.3926 90.00 90.00 90.00
Space group F-43m (No. 216)
Inequivalent atoms, fractional coordinates:
1 Ba 0.0000 0.0000 0.0000 [4 per cell]
2 Eu 0.0000 0.0000 0.5000 [4 per cell]
3 Hf 0.2500 0.2500 0.2500 [4 per cell]
4 Zr 0.2500 0.2500 0.7500 [4 per cell]
5 O 0.0019 0.2500 0.2500 [24 per cell]



No. 4
The following is a theoretical powder XRD pattern of BaEuMgPb. It was derived from a structure optimized by DFT (GGA-PBE), using Cu Kα.

Principal peaks in the range 2θ = 10–90°, low angle first:
18.5°, rel. 26; 30.4°, rel. 100; 35.8°, rel. 16; 43.5°, rel. 19; 47.6°, rel. 7; 54.0°, rel. 40; 57.5°, rel. 6; 63.2°, rel. 12; 66.4°, rel. 6; 71.7°, rel. 17; 79.8°, rel. 4; 87.7°, rel. 21

Structural model:
Lattice parameters (Å, degrees): 8.3239 8.3239 8.3239 90.00 90.00 90.00
Space group F-43m (No. 216)
Inequivalent atoms, fractional coordinates:
1 Ba 0.0000 0.0000 0.0000 [4 per cell]
2 Eu 0.0000 0.0000 0.5000 [4 per cell]
3 Mg 0.2500 0.2500 0.7500 [4 per cell]
4 Pb 0.2500 0.2500 0.2500 [4 per cell]



No. 5
The following is a theoretical powder XRD pattern of BaEuMgSi. It was derived from a structure optimized by DFT (GGA-PBE), using Cu Kα.

Principal peaks in the range 2θ = 10–90°, low angle first:
22.4°, rel. 54; 31.9°, rel. 100; 39.3°, rel. 17; 45.7°, rel. 18; 51.5°, rel. 24; 56.9°, rel. 38; 66.7°, rel. 12; 71.3°, rel. 11; 75.8°, rel. 16; 80.3°, rel. 7; 84.6°, rel. 4; 89.0°, rel. 5

Structural model:
Lattice parameters (Å, degrees): 7.9340 7.9340 7.9340 90.00 90.00 90.00
Space group F-43m (No. 216)
Inequivalent atoms, fractional coordinates:
1 Ba 0.0000 0.0000 0.0000 [4 per cell]
2 Eu 0.0000 0.0000 0.5000 [4 per cell]
3 Mg 0.2500 0.2500 0.2500 [4 per cell]
4 Si 0.2500 0.2500 0.7500 [4 per cell]



- Number 1 is which compound?
  BaEuGaPd



Repeat the second record exactly.
The following is a theoretical powder XRD pattern of BaEuGdSbO6. It was derived from a structure optimized by DFT (GGA-PBE), using Cu Kα.

Principal peaks in the range 2θ = 10–90°, low angle first:
29.6°, rel. 97; 29.8°, rel. 95; 29.9°, rel. 100; 42.2°, rel. 29; 42.6°, rel. 27; 43.0°, rel. 26; 52.6°, rel. 41; 52.8°, rel. 41; 53.1°, rel. 41; 69.5°, rel. 18; 70.7°, rel. 17; 85.3°, rel. 23

Structural model:
Lattice parameters (Å, degrees): 8.4177 8.4948 8.5647 90.00 90.00 90.00
Space group Cccm (No. 66)
Inequivalent atoms, fractional coordinates:
1 Ba 0.0000 0.0000 0.2500 [4 per cell]
2 Eu 0.0000 0.5000 0.2500 [4 per cell]
3 Gd 0.2500 0.2500 0.0000 [4 per cell]
4 Sb 0.2500 0.2500 0.5000 [4 per cell]
5 O 0.0151 0.2111 0.5000 [8 per cell]
6 O 0.2038 0.4842 0.5000 [8 per cell]
7 O 0.2500 0.2500 0.2644 [8 per cell]



- Number 3 is which compound?
  BaEuHfZrO6